No. 1
Theoretical XRD peak list of Ta2NbIr for Cu Kα (weighted mean of Kα1 and Kα2), from DFT lattice parameters and positions (PBE).
Lines closer than 0.1° are merged.

The 9 most intense peaks (2θ from 10° to 80°), sorted by position:
2θ 23.78, I = 5
2θ 27.53, I = 2
2θ 39.32, I = 100
2θ 46.47, I = 3
2θ 56.83, I = 17
2θ 62.47, I = 1
2θ 64.28, I = 1
2θ 71.29, I = 35
2θ 76.36, I = 1

Cell and atoms:
Unit cell a=6.481 b=6.481 c=6.481 alpha=90.00 beta=90.00 gamma=90.00
Space group Fm-3m (No. 225)
Symmetry-distinct sites (fractional):
Ta  0.250  0.250  0.250 x8
Nb  0.000  0.000  0.000 x4
Ir  0.000  0.000  0.500 x4

No. 2
Theoretical XRD peak list of Na2Cu4P2ClO9 for Cu Kα (weighted mean of Kα1 and Kα2), from DFT lattice parameters and positions (PBE).
Lines closer than 0.1° are merged.

The 12 most intense peaks (2θ from 10° to 80°), sorted by position:
2θ 10.66, I = 20
2θ 12.98, I = 29
2θ 25.43, I = 23
2θ 27.33, I = 25
2θ 29.41, I = 22
2θ 31.32, I = 39
2θ 32.34, I = 100
2θ 34.91, I = 31
2θ 36.74, I = 16
2θ 42.05, I = 16
2θ 43.76, I = 15
2θ 52.23, I = 21

Cell and atoms:
Unit cell a=13.637 b=10.463 c=6.527 alpha=90.00 beta=90.00 gamma=90.00
Space group Cmcm (No. 63)
Symmetry-distinct sites (fractional):
Na  0.195  0.000  0.000 x8
Cu  0.000  0.123  0.250 x4
Cu  0.000  0.500  0.000 x4
Cu  0.114  0.301  0.750 x8
P  0.166  0.297  0.250 x8
Cl  0.000  0.100  0.750 x4
O  0.000  0.412  0.750 x4
O  0.124  0.362  0.056 x16
O  0.142  0.151  0.250 x8
O  0.221  0.180  0.750 x8

No. 3
Theoretical XRD peak list of PrCu6 for Cu Kα (weighted mean of Kα1 and Kα2), from DFT lattice parameters and positions (PBE).
Lines closer than 0.1° are merged.

The 12 most intense peaks (2θ from 10° to 80°), sorted by position:
2θ 31.73, I = 25
2θ 35.28, I = 37
2θ 37.09, I = 56
2θ 38.77, I = 100
2θ 38.92, I = 80
2θ 39.62, I = 29
2θ 41.90, I = 43
2θ 42.89, I = 37
2θ 45.68, I = 29
2θ 45.77, I = 39
2θ 46.02, I = 67
2θ 65.69, I = 35

Cell and atoms:
Unit cell a=8.102 b=5.089 c=10.162 alpha=90.00 beta=90.00 gamma=90.00
Space group Pnma (No. 62)
Symmetry-distinct sites (fractional):
Pr  0.239  0.250  0.064 x4
Cu  0.065  0.005  0.309 x8
Cu  0.065  0.750  0.098 x4
Cu  0.099  0.250  0.516 x4
Cu  0.147  0.750  0.858 x4
Cu  0.182  0.250  0.756 x4